Starting from a crystal structure in Alexandria, relaxed with GGA+U, the X-ray powder pattern of SrCaNbFeO6 was simulated for a wavelength of 1.5418 Å.

Principal peaks in the range 2θ = 15–90°, in order of falling intensity:
| index | 2θ (°) | I (rel.) |
| --- | --- | --- |
| 2 2 0 | 32.26 | 100 |
| 4 0 0 | 46.27 | 40 |
| 4 2 2 | 57.53 | 37 |
| 4 4 0 | 67.51 | 22 |
| 6 2 0 | 76.81 | 16 |
| 1 1 1 | 19.59 | 11 |
| 4 4 4 | 85.77 | 7 |
| 2 0 0 | 22.66 | 7 |
| 3 1 1 | 38.02 | 7 |
| 3 3 1 | 50.70 | 3 |

Structural model:
```
data_SrCaNbFeO6
_symmetry_space_group_name_H-M 'F -4 3 m'
_symmetry_Int_Tables_number 216
_symmetry_space_group_name_Hall 'F -4 2 3'
_cell_length_a 7.8487
_cell_length_b 7.8487
_cell_length_c 7.8487
_cell_angle_alpha 90.00
_cell_angle_beta 90.00
_cell_angle_gamma 90.00
loop_
_atom_site_label
_atom_site_type_symbol
_atom_site_fract_x
_atom_site_fract_y
_atom_site_fract_z
Sr1 Sr 0.0000 0.0000 0.0000
Ca1 Ca 0.0000 0.0000 0.5000
Nb1 Nb 0.2500 0.2500 0.7500
Fe1 Fe 0.2500 0.2500 0.2500
O1 O 0.0042 0.2500 0.2500
```



Starting from a crystal structure in Alexandria, relaxed with GGA+U, the X-ray powder pattern of CaNd2FeO5 was simulated for a wavelength of 1.5418 Å.

Principal peaks in the range 2θ = 15–90°, in order of falling intensity:
| index | 2θ (°) | I (rel.) |
| --- | --- | --- |
| 2 1 1 | 33.86 | 100 |
| 2 0 1 | 31.03 | 80 |
| 2 1 2 | 44.01 | 68 |
| 0 0 1 | 15.65 | 66 |
| 2 1 0 | 29.84 | 37 |
| 0 0 2 | 31.60 | 37 |
| 4 1 2 | 66.35 | 28 |
| 3 1 1 | 45.75 | 25 |
| 4 1 1 | 59.19 | 24 |
| 1 1 0 | 18.74 | 19 |

Structural model:
```
data_CaNd2FeO5
_symmetry_space_group_name_H-M 'P 4/m b m'
_symmetry_Int_Tables_number 127
_symmetry_space_group_name_Hall '-P 4 2ab'
_cell_length_a 6.6959
_cell_length_b 6.6959
_cell_length_c 5.6633
_cell_angle_alpha 90.00
_cell_angle_beta 90.00
_cell_angle_gamma 90.00
loop_
_atom_site_label
_atom_site_type_symbol
_atom_site_fract_x
_atom_site_fract_y
_atom_site_fract_z
Ca1 Ca 0.0000 0.0000 0.0000
Nd1 Nd 0.1717 0.3283 0.5000
Fe1 Fe 0.0000 0.5000 0.0000
O1 O 0.0000 0.0000 0.5000
O2 O 0.1428 0.6428 0.2349
```